(1)
The following is a calculated powder diffractogram of Rb2Fe3CoF12. It was derived from a DFT-relaxed cell (GGA+U, Alexandria), using Cu Kα.

Most intense lines, 2θ = 10–80°, in order of rising 2θ:
- (1 0 1), 2θ = 14.7°, 6.037 Å, I 15
- (1 1 0), 2θ = 24.0°, 3.703 Å, I 19
- (0 2 1), 2θ = 28.3°, 3.156 Å, I 40
- (1 1 3), 2θ = 28.4°, 3.145 Å, I 100
- (0 1 5), 2θ = 28.6°, 3.121 Å, I 40
- (2 0 2), 2θ = 29.6°, 3.018 Å, I 35
- (3 0 3), 2θ = 45.1°, 2.012 Å, I 34
- (2 2 0), 2θ = 49.2°, 1.852 Å, I 37
- (2 0 8), 2θ = 49.8°, 1.832 Å, I 39
- (0 1 11), 2θ = 58.7°, 1.573 Å, I 19

Cell and atoms:
```
data_Rb2Fe3CoF12
_symmetry_space_group_name_H-M 'R -3 m'
_symmetry_Int_Tables_number 166
_symmetry_space_group_name_Hall '-R 3 2"'
_cell_length_a 7.4060
_cell_length_b 7.4060
_cell_length_c 17.8636
_cell_angle_alpha 90.00
_cell_angle_beta 90.00
_cell_angle_gamma 120.00
loop_
_atom_site_label
_atom_site_type_symbol
_atom_site_fract_x
_atom_site_fract_y
_atom_site_fract_z
Rb1 Rb 0.0000 0.0000 0.1293
Fe1 Fe 0.0000 0.5000 0.0000
Co1 Co 0.0000 0.0000 0.5000
F1 F 0.0694 0.5347 0.3609
F2 F 0.0817 0.5409 0.1080
```

(2)
The following is a calculated powder diffractogram of SrFeCo2F8. It was derived from a DFT-relaxed cell (GGA+U, Alexandria), using Cu Kα.

Most intense lines, 2θ = 10–80°, in order of rising 2θ:
- (1 0 -1), 2θ = 25.0°, 3.565 Å, I 88
- (1 0 1), 2θ = 25.5°, 3.498 Å, I 73
- (0 2 1), 2θ = 32.0°, 2.793 Å, I 100
- (1 2 1), 2θ = 37.0°, 2.427 Å, I 19
- (1 2 -2), 2θ = 48.6°, 1.874 Å, I 32
- (2 2 -1), 2θ = 48.7°, 1.869 Å, I 30
- (1 2 2), 2θ = 49.1°, 1.854 Å, I 24
- (2 2 1), 2θ = 49.3°, 1.849 Å, I 23
- (0 2 3), 2θ = 62.0°, 1.496 Å, I 19
- (3 2 0), 2θ = 62.4°, 1.488 Å, I 19

Cell and atoms:
```
data_SrFeCo2F8
_symmetry_space_group_name_H-M 'P 1 2/m 1'
_symmetry_Int_Tables_number 10
_cell_length_a 4.978
_cell_length_b 6.740
_cell_length_c 5.011
_cell_angle_alpha 90.00
_cell_angle_beta 91.10
_cell_angle_gamma 90.00
loop_
_symmetry_equiv_pos_as_xyz
'x,y,z'
'-x,-y,-z'
'-x,y,-z'
'x,-y,z'
loop_
_atom_site_label
_atom_site_type_symbol
_atom_site_fract_x
_atom_site_fract_y
_atom_site_fract_z
Sr1 Sr 0.000 0.000 0.000
Fe1 Fe 0.000 0.500 0.000
Co1 Co 0.500 0.261 0.500
F1 F 0.210 0.277 0.216
F2 F 0.302 0.500 0.701
F3 F 0.335 0.000 0.675
```

(3)
The following is a calculated powder diffractogram of NaGaCo2F8. It was derived from a DFT-relaxed cell (GGA+U, Alexandria), using Cu Kα.

Most intense lines, 2θ = 10–80°, in order of rising 2θ:
- (0 1 0), 2θ = 13.7°, 6.455 Å, I 33
- (1 0 -1), 2θ = 26.1°, 3.414 Å, I 97
- (1 0 1), 2θ = 26.4°, 3.375 Å, I 93
- (1 2 0), 2θ = 33.5°, 2.679 Å, I 100
- (1 2 -1), 2θ = 38.4°, 2.345 Å, I 28
- (1 2 -2), 2θ = 50.8°, 1.796 Å, I 34
- (2 2 -1), 2θ = 51.0°, 1.790 Å, I 34
- (1 2 2), 2θ = 51.2°, 1.785 Å, I 31
- (2 2 1), 2θ = 51.4°, 1.779 Å, I 31
- (0 2 3), 2θ = 64.8°, 1.438 Å, I 25

Cell and atoms:
```
data_NaGaCo2F8
_symmetry_space_group_name_H-M 'P 1 2/m 1'
_symmetry_Int_Tables_number 10
_cell_length_a 4.783
_cell_length_b 6.455
_cell_length_c 4.819
_cell_angle_alpha 90.00
_cell_angle_beta 90.65
_cell_angle_gamma 90.00
loop_
_symmetry_equiv_pos_as_xyz
'x,y,z'
'-x,-y,-z'
'-x,y,-z'
'x,-y,z'
loop_
_atom_site_label
_atom_site_type_symbol
_atom_site_fract_x
_atom_site_fract_y
_atom_site_fract_z
Na1 Na 0.000 0.000 0.000
Ga1 Ga 0.000 0.500 0.000
Co1 Co 0.500 0.249 0.500
F1 F 0.196 0.286 0.194
F2 F 0.292 0.500 0.706
F3 F 0.321 0.000 0.683
```

(4)
The following is a calculated powder diffractogram of RbGaCoF6. It was derived from a DFT-relaxed cell (GGA+U, Alexandria), using Cu Kα.

Most intense lines, 2θ = 10–80°, in order of rising 2θ:
- (1 1 2), 2θ = 24.2°, 3.684 Å, I 19
- (1 2 1), 2θ = 28.3°, 3.152 Å, I 100
- (1 0 3), 2θ = 28.4°, 3.142 Å, I 27
- (2 1 1), 2θ = 28.6°, 3.118 Å, I 45
- (0 2 2), 2θ = 29.5°, 3.025 Å, I 21
- (2 0 2), 2θ = 29.9°, 2.986 Å, I 31
- (0 3 3), 2θ = 44.9°, 2.017 Å, I 16
- (3 0 3), 2θ = 45.6°, 1.991 Å, I 23
- (2 2 4), 2θ = 49.5°, 1.842 Å, I 47
- (0 2 6), 2θ = 58.6°, 1.576 Å, I 22

Cell and atoms:
```
data_RbGaCoF6
_symmetry_space_group_name_H-M 'I m m a'
_symmetry_Int_Tables_number 74
_symmetry_space_group_name_Hall '-I 2b 2'
_cell_length_a 7.277
_cell_length_b 7.421
_cell_length_c 10.450
_cell_angle_alpha 90.00
_cell_angle_beta 90.00
_cell_angle_gamma 90.00
loop_
_atom_site_label
_atom_site_type_symbol
_atom_site_fract_x
_atom_site_fract_y
_atom_site_fract_z
Rb1 Rb 0.000 0.250 0.115
Ga1 Ga 0.000 0.000 0.500
Co1 Co 0.250 0.250 0.750
F1 F 0.000 0.250 0.441
F2 F 0.000 0.250 0.831
F3 F 0.188 0.044 0.622
```

(5)
The following is a calculated powder diffractogram of CoH2F6. It was derived from a DFT-relaxed cell (GGA+U, Alexandria), using Cu Kα.

Most intense lines, 2θ = 10–80°, in order of rising 2θ:
- (1 1 0), 2θ = 13.6°, 6.528 Å, I 100
- (2 0 0), 2θ = 17.7°, 5.011 Å, I 46
- (0 2 0), 2θ = 20.6°, 4.302 Å, I 12
- (1 1 -1), 2θ = 22.2°, 3.996 Å, I 13
- (1 1 1), 2θ = 24.2°, 3.680 Å, I 12
- (0 2 1), 2θ = 28.0°, 3.181 Å, I 22
- (3 1 0), 2θ = 28.7°, 3.114 Å, I 26
- (3 3 -1), 2θ = 44.3°, 2.045 Å, I 33
- (2 0 2), 2θ = 44.5°, 2.036 Å, I 18
- (5 3 1), 2θ = 61.8°, 1.502 Å, I 9

Cell and atoms:
```
data_CoH2F6
_symmetry_space_group_name_H-M 'C 1 2/c 1'
_symmetry_Int_Tables_number 15
_cell_length_a 10.112
_cell_length_b 8.603
_cell_length_c 4.768
_cell_angle_alpha 90.00
_cell_angle_beta 97.63
_cell_angle_gamma 90.00
loop_
_symmetry_equiv_pos_as_xyz
'x,y,z'
'-x,-y,-z'
'-x,y,-z+1/2'
'x,-y,z+1/2'
'x+1/2,y+1/2,z'
'-x+1/2,-y+1/2,-z'
'-x+1/2,y+1/2,-z+1/2'
'x+1/2,-y+1/2,z+1/2'
loop_
_atom_site_label
_atom_site_type_symbol
_atom_site_fract_x
_atom_site_fract_y
_atom_site_fract_z
Co1 Co 0.000 0.090 0.250
H1 H 0.135 0.485 0.830
F1 F 0.097 0.074 0.607
F2 F 0.108 0.223 0.137
F3 F 0.137 0.442 0.643
```

(6)
The following is a calculated powder diffractogram of CoP2H18N6F12. It was derived from a DFT-relaxed cell (GGA+U, Alexandria), using Cu Kα.

Most intense lines, 2θ = 10–80°, in order of rising 2θ:
- (1 0 0), 2θ = 12.8°, 6.907 Å, I 100
- (1 -1 0), 2θ = 12.9°, 6.866 Å, I 34
- (1 0 -1), 2θ = 14.7°, 6.009 Å, I 42
- (1 -1 1), 2θ = 15.0°, 5.904 Å, I 23
- (-1 1 1), 2θ = 20.9°, 4.243 Å, I 79
- (0 1 -2), 2θ = 21.1°, 4.209 Å, I 48
- (2 -1 0), 2θ = 21.2°, 4.196 Å, I 23
- (0 2 0), 2θ = 29.7°, 3.011 Å, I 22
- (2 0 -2), 2θ = 29.8°, 2.998 Å, I 22
- (2 -2 2), 2θ = 30.3°, 2.952 Å, I 23

Cell and atoms:
```
data_CoP2H18N6F12
_symmetry_space_group_name_H-M 'P 1'
_symmetry_Int_Tables_number 1
_cell_length_a 8.393
_cell_length_b 8.403
_cell_length_c 8.436
_cell_angle_alpha 119.42
_cell_angle_beta 90.88
_cell_angle_gamma 119.17
loop_
_symmetry_equiv_pos_as_xyz
'x,y,z'
loop_
_atom_site_label
_atom_site_type_symbol
_atom_site_fract_x
_atom_site_fract_y
_atom_site_fract_z
Co1 Co 0.000 0.000 0.000
P1 P 0.247 0.497 0.744
P2 P 0.751 0.504 0.256
H1 H 0.097 0.405 0.205
H2 H 0.113 0.837 0.709
H3 H 0.156 0.836 0.147
H4 H 0.184 0.056 0.337
H5 H 0.190 0.092 0.786
H6 H 0.256 0.400 0.097
H7 H 0.269 0.398 0.291
H8 H 0.303 0.048 0.903
H9 H 0.338 0.084 0.218
H10 H 0.662 0.892 0.761
H11 H 0.693 0.940 0.093
H12 H 0.737 0.600 0.899
H13 H 0.739 0.601 0.704
H14 H 0.818 0.917 0.222
H15 H 0.825 0.158 0.867
H16 H 0.835 0.975 0.674
H17 H 0.881 0.163 0.286
H18 H 0.906 0.597 0.805
N1 N 0.169 0.992 0.831
N2 N 0.174 0.337 0.166
N3 N 0.194 0.993 0.201
N4 N 0.806 0.007 0.800
N5 N 0.826 0.663 0.834
N6 N 0.831 0.007 0.169
F1 F 0.086 0.230 0.588
F2 F 0.096 0.510 0.862
F3 F 0.162 0.548 0.612
F4 F 0.334 0.446 0.877
F5 F 0.399 0.484 0.627
F6 F 0.409 0.765 0.902
F7 F 0.591 0.236 0.104
F8 F 0.605 0.521 0.379
F9 F 0.657 0.547 0.121
F10 F 0.845 0.461 0.390
F11 F 0.899 0.488 0.133
F12 F 0.912 0.772 0.406
```

(7)
The following is a calculated powder diffractogram of RbCoH2F8. It was derived from a DFT-relaxed cell (GGA+U, Alexandria), using Cu Kα.

Most intense lines, 2θ = 10–80°, in order of rising 2θ:
- (0 1 0), 2θ = 19.2°, 4.616 Å, I 94
- (1 0 0), 2θ = 20.4°, 4.348 Å, I 84
- (1 -1 0), 2θ = 22.0°, 4.032 Å, I 100
- (0 0 2), 2θ = 23.5°, 3.790 Å, I 71
- (0 1 -2), 2θ = 28.1°, 3.181 Å, I 53
- (1 1 0), 2θ = 33.3°, 2.690 Å, I 27
- (1 0 2), 2θ = 35.3°, 2.543 Å, I 47
- (1 1 -2), 2θ = 35.7°, 2.517 Å, I 46
- (1 -2 0), 2θ = 36.4°, 2.470 Å, I 31
- (-1 1 3), 2θ = 40.0°, 2.256 Å, I 29

Cell and atoms:
```
data_RbCoH2F8
_symmetry_space_group_name_H-M 'P -1'
_symmetry_Int_Tables_number 2
_cell_length_a 4.834
_cell_length_b 5.010
_cell_length_c 7.876
_cell_angle_alpha 93.41
_cell_angle_beta 103.03
_cell_angle_gamma 111.14
loop_
_symmetry_equiv_pos_as_xyz
'x,y,z'
'-x,-y,-z'
loop_
_atom_site_label
_atom_site_type_symbol
_atom_site_fract_x
_atom_site_fract_y
_atom_site_fract_z
Rb1 Rb 0.000 0.000 0.000
Co1 Co 0.000 0.000 0.500
H1 H 0.293 0.501 0.793
F1 F 0.204 0.223 0.367
F2 F 0.206 0.781 0.494
F3 F 0.286 0.224 0.699
F4 F 0.319 0.650 0.888
```

(8)
The following is a calculated powder diffractogram of Hf3CoF6. It was derived from a DFT-relaxed cell (GGA+U, Alexandria), using Cu Kα.

Most intense lines, 2θ = 10–80°, in order of rising 2θ:
- (0 0 1), 2θ = 12.4°, 7.154 Å, I 47
- (1 1 -1), 2θ = 18.9°, 4.683 Å, I 75
- (2 0 -1), 2θ = 24.4°, 3.651 Å, I 82
- (0 0 2), 2θ = 24.9°, 3.577 Å, I 95
- (1 1 1), 2θ = 25.5°, 3.492 Å, I 29
- (0 2 1), 2θ = 28.9°, 3.090 Å, I 100
- (2 2 0), 2θ = 37.9°, 2.377 Å, I 58
- (2 2 -2), 2θ = 38.4°, 2.342 Å, I 57
- (0 2 3), 2θ = 46.4°, 1.957 Å, I 34
- (2 2 2), 2θ = 52.4°, 1.746 Å, I 31

Cell and atoms:
```
data_Hf3CoF6
_symmetry_space_group_name_H-M 'C 1 2/m 1'
_symmetry_Int_Tables_number 12
_cell_length_a 7.307
_cell_length_b 6.853
_cell_length_c 7.923
_cell_angle_alpha 90.00
_cell_angle_beta 115.45
_cell_angle_gamma 90.00
loop_
_symmetry_equiv_pos_as_xyz
'x,y,z'
'-x,-y,-z'
'-x,y,-z'
'x,-y,z'
'x+1/2,y+1/2,z'
'-x+1/2,-y+1/2,-z'
'-x+1/2,y+1/2,-z'
'x+1/2,-y+1/2,z'
loop_
_atom_site_label
_atom_site_type_symbol
_atom_site_fract_x
_atom_site_fract_y
_atom_site_fract_z
Hf1 Hf 0.000 0.000 0.000
Hf2 Hf 0.250 0.250 0.500
Co1 Co 0.000 0.500 0.500
F1 F 0.100 0.205 0.212
F2 F 0.235 0.500 0.000
```